This entry pairs a crystal structure of Cs5Hg2H with its computed PXRD pattern. Radiation: λ = 1.5418 Å (Cu Kα). Structure: a cell relaxed with PBE.
No peak broadening, texture or thermal motion is included.

Structural model:
Unit cell a=5.9683 b=17.4459 c=18.6999 alpha=90.00 beta=90.00 gamma=90.00
Space group Cmcm (No. 63)
One atom of each set of equivalent atoms:
Cs  0.0000  0.1143  0.1172 [8 per cell]
Cs  0.0000  0.2563  0.7500 [4 per cell]
Cs  0.0000  0.3802  0.1211 [8 per cell]
Hg  0.0000  0.2506  0.5412 [8 per cell]
H  0.0000  0.2470  0.2500 [4 per cell]

Main lines, sorted by position (10 to 90 degrees two-theta):
(0 2 0), d 8.723, 10.1 deg, rel. 100.0
(0 2 4), d 4.121, 21.6 deg, rel. 25.1
(1 3 1), d 4.065, 21.9 deg, rel. 86.7
(1 3 3), d 3.463, 25.7 deg, rel. 50.2
(0 4 4), d 3.189, 28.0 deg, rel. 62.4
(1 1 5), d 3.118, 28.6 deg, rel. 86.9
(2 0 0), d 2.984, 29.9 deg, rel. 41.3
(1 1 7), d 2.416, 37.2 deg, rel. 38.8
(0 8 0), d 2.179, 41.4 deg, rel. 58.3
(1 7 5), d 1.959, 46.3 deg, rel. 26.7